No. 1
For Dy2HoAl2Zn3Cd, a GGA-PBE-relaxed structure gives the theoretical powder X-ray diffraction pattern in this record (Cu Kα (λ = 1.5418 Å)).

a = 4.4660 Å, b = 12.1151 Å, c = 7.0100 Å
α = 90.00°, β = 90.00°, γ = 90.00°
Space group Amm2 (No. 38)
Symmetry-distinct sites (fractional):
Dy1 0.0000 0.2159 0.0000
Ho1 0.0000 0.0000 0.3516
Al1 0.5000 0.1663 0.2840
Zn1 0.5000 0.0000 0.0321
Zn2 0.5000 0.1242 0.6595
Cd1 0.0000 0.0000 0.7826

Peak list (10 most intense, 2θ from 10° to 90°, sorted by position)
2θ (°)	intensity
19.88	22.4
29.46	36.7
32.50	60.6
35.80	100.0
39.31	29.3
40.39	26.0
50.78	16.3
57.63	18.8
58.63	15.7
70.47	13.5

No. 2
For Co2Ge2H, a GGA-PBE-relaxed structure gives the theoretical powder X-ray diffraction pattern in this record (Cu Kα (λ = 1.5418 Å)).

a = 4.8993 Å, b = 3.6425 Å, c = 6.7207 Å
α = 90.00°, β = 90.00°, γ = 90.00°
Space group Pmma (No. 51)
Symmetry-distinct sites (fractional):
Co1 0.0000 0.0000 0.0000
Co2 0.2500 0.0000 0.3771
Ge1 0.2500 0.0000 0.7096
Ge2 0.2500 0.5000 0.1345
H1 0.0000 0.5000 0.5000

Peak list (10 most intense, 2θ from 10° to 90°, sorted by position)
2θ (°)	intensity
13.17	44.0
24.44	72.7
33.43	62.0
36.69	36.4
40.92	48.0
44.47	38.3
45.84	31.7
46.68	100.0
47.66	72.6
50.09	49.4

No. 3
For Hf2AlInCo2Ir2, a GGA-PBE-relaxed structure gives the theoretical powder X-ray diffraction pattern in this record (Cu Kα (λ = 1.5418 Å)).

a = 4.4406 Å, b = 4.4406 Å, c = 6.3394 Å
α = 90.00°, β = 90.00°, γ = 90.00°
Space group P-4m2 (No. 115)
Symmetry-distinct sites (fractional):
Hf1 0.0000 0.0000 0.0000
Hf2 0.5000 0.5000 0.5000
Al1 0.0000 0.0000 0.5000
In1 0.5000 0.5000 0.0000
Co1 0.0000 0.5000 0.2603
Ir1 0.0000 0.5000 0.7369

Peak list (10 most intense, 2θ from 10° to 90°, sorted by position)
2θ (°)	intensity
24.47	39.3
40.44	100.0
40.63	49.9
47.66	6.8
48.01	13.8
58.21	8.2
58.82	16.8
73.40	16.5
73.80	33.7
87.45	10.7

No. 4
For BaTmPO, a GGA-PBE-relaxed structure gives the theoretical powder X-ray diffraction pattern in this record (Cu Kα (λ = 1.5418 Å)).

a = 4.5917 Å, b = 7.5282 Å, c = 6.5333 Å
α = 90.00°, β = 90.00°, γ = 90.00°
Space group Pmc2_1 (No. 26)
Symmetry-distinct sites (fractional):
Ba1 0.0000 0.2021 0.0000
Tm1 0.5000 0.3807 0.5802
P1 0.0000 0.2223 0.4872
O1 0.5000 0.3788 0.9097

Peak list (10 most intense, 2θ from 10° to 90°, sorted by position)
2θ (°)	intensity
11.76	32.8
22.68	59.0
26.52	93.6
27.32	100.0
33.69	31.0
35.78	24.4
39.24	26.0
40.99	21.1
48.48	41.9
52.51	24.9

No. 5
For ZnGa2Te2S2, a GGA-PBE-relaxed structure gives the theoretical powder X-ray diffraction pattern in this record (Cu Kα (λ = 1.5418 Å)).

a = 7.9457 Å, b = 11.0609 Å, c = 5.7264 Å
α = 90.00°, β = 133.22°, γ = 90.00°
Space group C2 (No. 5)
Symmetry-distinct sites (fractional):
Zn1 0.0000 0.0000 0.0000
Ga1 0.0000 0.4974 0.0000
Ga2 0.0000 0.7247 0.5000
Te1 0.2231 0.3530 0.4996
S1 0.2358 0.6182 0.9834

Peak list (10 most intense, 2θ from 10° to 90°, sorted by position)
2θ (°)	intensity
16.03	22.2
22.38	26.5
26.76	100.0
27.65	69.5
34.98	15.8
35.33	15.5
39.08	13.6
43.37	24.0
45.35	36.1
45.65	51.6

No. 6
For HfAl2Ir2, a GGA-PBE-relaxed structure gives the theoretical powder X-ray diffraction pattern in this record (Cu Kα (λ = 1.5418 Å)).

a = 3.6795 Å, b = 3.6795 Å, c = 12.3980 Å
α = 90.00°, β = 90.00°, γ = 90.00°
Space group I4/mmm (No. 139)
Symmetry-distinct sites (fractional):
Hf1 0.0000 0.0000 0.0000
Al1 0.0000 0.5000 0.2500
Ir1 0.0000 0.0000 0.3925

Peak list (10 most intense, 2θ from 10° to 90°, sorted by position)
2θ (°)	intensity
14.29	54.1
25.25	20.7
32.58	90.1
34.47	82.7
37.49	51.6
44.04	100.0
49.55	44.4
60.57	31.1
68.43	54.7
87.07	16.0

No. 7
For Li2Nb2FeSi2Os, a GGA-PBE-relaxed structure gives the theoretical powder X-ray diffraction pattern in this record (Cu Kα (λ = 1.5418 Å)).

a = 4.2010 Å, b = 4.2010 Å, c = 5.9647 Å
α = 90.00°, β = 90.00°, γ = 90.00°
Space group P-4m2 (No. 115)
Symmetry-distinct sites (fractional):
Li1 0.0000 0.0000 0.0000
Li2 0.5000 0.5000 0.5000
Nb1 0.0000 0.5000 0.7358
Fe1 0.0000 0.0000 0.5000
Si1 0.0000 0.5000 0.2557
Os1 0.5000 0.5000 0.0000

Peak list (10 most intense, 2θ from 10° to 90°, sorted by position)
2θ (°)	intensity
14.85	10.1
21.15	13.1
25.94	75.3
33.71	11.1
43.00	100.0
50.81	11.7
50.96	23.6
62.54	10.9
78.69	10.5
78.88	21.8

No. 8
For HoEr2Fe9, a GGA-PBE-relaxed structure gives the theoretical powder X-ray diffraction pattern in this record (Cu Kα (λ = 1.5418 Å)).

a = 5.0269 Å, b = 5.0269 Å, c = 24.0297 Å
α = 90.00°, β = 90.00°, γ = 120.00°
Space group R-3m (No. 166, hexagonal axes)
Symmetry-distinct sites (fractional):
Ho1 0.0000 0.0000 0.0000
Er1 0.0000 0.0000 0.1418
Fe1 0.0000 0.0000 0.3328
Fe2 0.0000 0.0000 0.5000
Fe3 0.9998 0.4999 0.0815

Peak list (10 most intense, 2θ from 10° to 90°, sorted by position)
2θ (°)	intensity
20.74	15.4
33.24	54.3
35.72	58.4
36.34	36.7
41.66	39.2
42.46	100.0
62.61	17.8
64.58	13.5
68.81	22.6
75.68	20.7

No. 9
For TlRe3P5, a GGA-PBE-relaxed structure gives the theoretical powder X-ray diffraction pattern in this record (Cu Kα (λ = 1.5418 Å)).

a = 5.3315 Å, b = 5.3315 Å, c = 7.3923 Å
α = 90.00°, β = 90.00°, γ = 120.00°
Space group P6/mmm (No. 191)
Symmetry-distinct sites (fractional):
Tl1 0.0000 0.0000 0.0000
Re1 0.0000 0.5000 0.5000
P1 0.0000 0.0000 0.5000
P2 0.3333 0.6667 0.2388

Peak list (10 most intense, 2θ from 10° to 90°, sorted by position)
2θ (°)	intensity
11.97	84.6
22.71	100.0
24.08	51.9
35.81	34.5
39.02	54.5
40.96	27.3
41.54	23.6
46.37	90.8
53.99	20.4
64.60	25.5

No. 10
For Zr, a GGA-PBE-relaxed structure gives the theoretical powder X-ray diffraction pattern in this record (Cu Kα (λ = 1.5418 Å)).

a = 3.2296 Å, b = 5.1776 Å, c = 16.7690 Å
α = 90.00°, β = 90.00°, γ = 90.00°
Space group Pmmn (No. 59, origin choice 2)
Symmetry-distinct sites (fractional):
Zr1 0.2500 0.2500 0.0270
Zr2 0.2500 0.2500 0.3611
Zr3 0.2500 0.2500 0.6950
Zr4 0.2500 0.7500 0.1390
Zr5 0.2500 0.7500 0.4718
Zr6 0.2500 0.7500 0.8062

Peak list (10 most intense, 2θ from 10° to 90°, sorted by position)
2θ (°)	intensity
32.01	24.0
34.65	25.8
36.52	100.0
47.89	15.1
57.06	17.7
63.33	19.1
68.50	19.9
69.67	14.2
77.62	3.5
82.04	3.0

No. 11
For La2PrAlCl3, a GGA-PBE-relaxed structure gives the theoretical powder X-ray diffraction pattern in this record (Cu Kα (λ = 1.5418 Å)).

a = 5.9716 Å, b = 5.9716 Å, c = 5.9469 Å
α = 90.00°, β = 90.00°, γ = 90.00°
Space group P4/mmm (No. 123)
Symmetry-distinct sites (fractional):
La1 0.0000 0.5000 0.0000
Pr1 0.0000 0.0000 0.5000
Al1 0.0000 0.0000 0.0000
Cl1 0.0000 0.5000 0.5000
Cl2 0.5000 0.5000 0.0000

Peak list (10 most intense, 2θ from 10° to 90°, sorted by position)
2θ (°)	intensity
14.85	39.8
21.07	47.9
25.88	65.9
29.93	92.0
30.05	45.5
36.92	22.1
42.89	100.0
50.72	23.2
53.21	34.8
70.56	29.3

No. 12
For LaNdB2P2Ir2, a GGA-PBE-relaxed structure gives the theoretical powder X-ray diffraction pattern in this record (Cu Kα (λ = 1.5418 Å)).

a = 4.0467 Å, b = 4.0467 Å, c = 8.4413 Å
α = 90.00°, β = 90.00°, γ = 90.00°
Space group P4mm (No. 99)
Symmetry-distinct sites (fractional):
La1 0.0000 0.0000 0.0000
Nd1 0.5000 0.5000 0.6101
B1 0.0000 0.0000 0.4097
B2 0.5000 0.5000 0.1933
P1 0.0000 0.0000 0.6465
P2 0.5000 0.5000 0.9538
Ir1 0.0000 0.5000 0.3034

Peak list (10 most intense, 2θ from 10° to 90°, sorted by position)
2θ (°)	intensity
10.48	92.5
24.39	33.7
31.80	48.6
33.05	95.2
37.99	100.0
44.79	45.1
55.98	39.2
64.04	26.5
75.08	18.3
78.03	25.0

No. 13
For NdScCu2As4, a GGA-PBE-relaxed structure gives the theoretical powder X-ray diffraction pattern in this record (Cu Kα (λ = 1.5418 Å)).

a = 3.8928 Å, b = 3.8928 Å, c = 9.7916 Å
α = 90.00°, β = 90.00°, γ = 90.00°
Space group P4mm (No. 99)
Symmetry-distinct sites (fractional):
Nd1 0.0000 0.0000 0.0000
Sc1 0.5000 0.5000 0.5286
Cu1 0.0000 0.5000 0.2782
As1 0.0000 0.0000 0.4393
As2 0.0000 0.5000 0.7503
As3 0.5000 0.5000 0.1178

Peak list (10 most intense, 2θ from 10° to 90°, sorted by position)
2θ (°)	intensity
29.31	29.3
35.91	15.4
36.71	12.4
37.48	100.0
43.68	11.3
46.67	36.6
52.29	11.7
60.80	10.8
68.13	11.4
80.44	20.3

No. 14
For Ga2Re2O5, a GGA-PBE-relaxed structure gives the theoretical powder X-ray diffraction pattern in this record (Cu Kα (λ = 1.5418 Å)).

a = 3.8626 Å, b = 3.8626 Å, c = 7.5582 Å
α = 90.00°, β = 90.00°, γ = 90.00°
Space group P4/mmm (No. 123)
Symmetry-distinct sites (fractional):
Ga1 0.0000 0.0000 0.0000
Ga2 0.0000 0.0000 0.5000
Re1 0.5000 0.5000 0.2277
O1 0.0000 0.5000 0.2286
O2 0.5000 0.5000 0.5000

Peak list (10 most intense, 2θ from 10° to 90°, sorted by position)
2θ (°)	intensity
23.03	30.0
23.54	16.7
32.79	47.4
33.16	100.0
47.05	28.1
48.16	10.4
58.77	39.5
59.49	14.5
68.74	8.6
69.61	13.1